(1)
Simulated powder X-ray diffraction pattern
Compound: Mg2Ta2TiN6
Radiation: λ = 1.5418 Å (Cu Kα)
Structure: a cell relaxed with GGA-PBE

Main lines, sorted by position (10° ≤ 2θ ≤ 80°):
| hkl | d (Å) | I_rel |
| --- | --- | --- |
| 0 0 1 | 5.109 | 100 |
| 1 1 -1 | 3.917 | 20 |
| 1 3 0 | 2.632 | 34 |
| 2 0 -1 | 2.605 | 17 |
| 0 0 2 | 2.554 | 19 |
| 2 0 0 | 2.522 | 18 |
| 1 3 -1 | 2.511 | 35 |
| 1 3 1 | 2.199 | 47 |
| 2 0 -2 | 2.161 | 22 |
| 1 3 -3 | 1.549 | 14 |

Structure:
Lattice parameters (Å, degrees): 5.3065 9.2554 5.3746 90.00 108.10 90.00
Space group C2/m (No. 12)
Unique sites:
Mg  0.0000  0.1655  0.0000 x4
Ta  0.0000  0.3356  0.5000 x4
Ti  0.0000  0.0000  0.5000 x2
N  0.2328  0.1728  0.7228 x8
N  0.2500  0.0000  0.2826 x4


(2)
Simulated powder X-ray diffraction pattern
Compound: ErTl2InSe4
Radiation: λ = 1.5418 Å (Cu Kα)
Structure: a cell relaxed with GGA-PBE

Main lines, sorted by position (10° ≤ 2θ ≤ 80°):
| hkl | d (Å) | I_rel |
| --- | --- | --- |
| 0 2 2 | 3.535 | 21 |
| 2 0 2 | 3.509 | 21 |
| 0 0 4 | 3.075 | 52 |
| 2 2 0 | 3.038 | 100 |
| 2 2 4 | 2.161 | 93 |
| 4 0 0 | 2.136 | 18 |
| 0 4 4 | 1.767 | 19 |
| 4 0 4 | 1.754 | 19 |
| 2 2 8 | 1.372 | 16 |
| 4 0 8 | 1.247 | 17 |

Structure:
Lattice parameters (Å, degrees): 8.5448 8.6396 12.2980 90.00 90.00 90.00
Space group Imma (No. 74)
Unique sites:
Er  0.2500  0.2500  0.2500 x4
Tl  0.0000  0.0000  0.0000 x4
Tl  0.2500  0.2500  0.7500 x4
In  0.0000  0.0000  0.5000 x4
Se  0.0000  0.0283  0.2637 x8
Se  0.2205  0.2500  0.4865 x8


(3)
Simulated powder X-ray diffraction pattern
Compound: ScSe2O6F2
Radiation: λ = 1.5418 Å (Cu Kα)
Structure: a cell relaxed with GGA-PBE

Main lines, sorted by position (10° ≤ 2θ ≤ 80°):
| hkl | d (Å) | I_rel |
| --- | --- | --- |
| 0 0 1 | 6.888 | 8 |
| 1 0 1 | 3.938 | 100 |
| 1 0 2 | 2.798 | 16 |
| 1 1 0 | 2.771 | 28 |
| 0 1 3 | 2.071 | 15 |
| 2 1 1 | 1.754 | 16 |
| 3 0 0 | 1.600 | 9 |
| 1 1 4 | 1.463 | 11 |
| 1 2 3 | 1.423 | 8 |
| 1 3 1 | 1.307 | 8 |

Structure:
Lattice parameters (Å, degrees): 5.5428 5.5428 6.8876 90.00 90.00 120.00
Space group P-3 (No. 147)
Unique sites:
Sc  0.0000  0.0000  0.0000 x1
Se  0.3333  0.6667  0.7561 x2
O  0.0844  0.7381  0.8258 x6
F  0.3333  0.6667  0.4893 x2


(4)
Simulated powder X-ray diffraction pattern
Compound: Ca2Sb7Pd12
Radiation: λ = 1.5418 Å (Cu Kα)
Structure: a cell relaxed with GGA-PBE

Main lines, sorted by position (10° ≤ 2θ ≤ 80°):
| hkl | d (Å) | I_rel |
| --- | --- | --- |
| 1 1 0 | 5.321 | 26 |
| 2 1 1 | 2.701 | 100 |
| 3 0 1 | 2.495 | 21 |
| 4 -1 1 | 2.194 | 47 |
| 0 0 2 | 2.139 | 26 |
| 3 2 0 | 2.115 | 22 |
| 0 4 1 | 2.029 | 29 |
| 1 4 0 | 2.011 | 30 |
| 1 4 2 | 1.465 | 15 |
| 5 3 1 | 1.258 | 20 |

Structure:
Lattice parameters (Å, degrees): 10.6428 10.6428 4.2777 90.00 90.00 120.00
Space group P-3 (No. 147)
Unique sites:
Ca  0.3333  0.6667  0.2393 x2
Sb  0.0000  0.0000  0.5000 x1
Sb  0.1139  0.7061  0.7356 x6
Pd  0.0586  0.4353  0.7559 x6
Pd  0.1185  0.2574  0.2230 x6


(5)
Simulated powder X-ray diffraction pattern
Compound: UNiAs3
Radiation: λ = 1.5418 Å (Cu Kα)
Structure: a cell relaxed with GGA-PBE

Main lines, sorted by position (10° ≤ 2θ ≤ 80°):
| hkl | d (Å) | I_rel |
| --- | --- | --- |
| 1 1 1 | 3.743 | 87 |
| 2 1 1 | 3.275 | 32 |
| 2 2 0 | 2.546 | 74 |
| 2 0 2 | 2.497 | 56 |
| 4 1 1 | 2.352 | 100 |
| 5 0 0 | 2.342 | 33 |
| 3 2 0 | 2.289 | 40 |
| 3 0 2 | 2.254 | 37 |
| 0 2 2 | 1.975 | 67 |
| 5 2 2 | 1.510 | 30 |

Structure:
Lattice parameters (Å, degrees): 11.7112 5.6534 5.5216 90.00 90.00 90.00
Space group Pbcm (No. 57)
Unique sites:
U  0.1938  0.0085  0.2500 x4
Ni  0.4136  0.7500  0.0000 x4
As  0.0010  0.7500  0.0000 x4
As  0.2635  0.5142  0.2500 x4
As  0.4353  0.1021  0.2500 x4


(6)
Simulated powder X-ray diffraction pattern
Compound: Ag8Te3Se2
Radiation: λ = 1.5418 Å (Cu Kα)
Structure: a cell relaxed with GGA-PBE

Main lines, sorted by position (10° ≤ 2θ ≤ 80°):
| hkl | d (Å) | I_rel |
| --- | --- | --- |
| 1 1 0 | 6.367 | 17 |
| 1 1 3 | 3.259 | 68 |
| 2 2 0 | 3.183 | 15 |
| 6 0 -2 | 2.409 | 50 |
| 5 1 2 | 2.337 | 14 |
| 2 2 -4 | 2.251 | 100 |
| 3 3 -1 | 2.116 | 44 |
| 5 1 -5 | 1.940 | 15 |
| 7 1 1 | 1.934 | 14 |
| 2 0 6 | 1.836 | 13 |

Structure:
Lattice parameters (Å, degrees): 14.8995 7.0645 12.0423 90.00 99.53 90.00
Space group C2/c (No. 15)
Unique sites:
Ag  0.0464  0.0926  0.3823 x8
Ag  0.1415  0.0166  0.6895 x8
Ag  0.1645  0.4394  0.6837 x8
Ag  0.2312  0.0429  0.9937 x8
Te  0.0000  0.2749  0.7500 x4
Te  0.0842  0.2860  0.0118 x8
Se  0.1958  0.2823  0.3423 x8


(7)
Simulated powder X-ray diffraction pattern
Compound: NaUSe2O8
Radiation: λ = 1.5418 Å (Cu Kα)
Structure: a cell relaxed with GGA-PBE

Main lines, sorted by position (10° ≤ 2θ ≤ 80°):
| hkl | d (Å) | I_rel |
| --- | --- | --- |
| 0 0 1 | 6.647 | 23 |
| 1 0 0 | 5.322 | 35 |
| 1 0 1 | 4.155 | 100 |
| 1 1 0 | 3.073 | 51 |
| 1 0 2 | 2.819 | 40 |
| 0 2 1 | 2.471 | 15 |
| 2 0 2 | 2.077 | 25 |
| 2 1 1 | 1.925 | 24 |
| 2 1 2 | 1.721 | 23 |
| 1 1 4 | 1.462 | 12 |

Structure:
Lattice parameters (Å, degrees): 6.1459 6.1459 6.6466 90.00 90.00 120.00
Space group P-3m1 (No. 164)
Unique sites:
Na  0.0000  0.0000  0.0000 x1
U  0.0000  0.0000  0.5000 x1
Se  0.3333  0.6667  0.2477 x2
O  0.1531  0.3063  0.3056 x6
O  0.3333  0.6667  0.0028 x2


(8)
Simulated powder X-ray diffraction pattern
Compound: Cs2HgAuCl
Radiation: λ = 1.5418 Å (Cu Kα)
Structure: a cell relaxed with GGA-PBE

Main lines, sorted by position (10° ≤ 2θ ≤ 80°):
| hkl | d (Å) | I_rel |
| --- | --- | --- |
| 0 0 2 | 7.954 | 24 |
| 1 0 3 | 3.656 | 45 |
| 1 1 0 | 3.570 | 28 |
| 1 1 2 | 3.257 | 29 |
| 1 1 3 | 2.961 | 51 |
| 1 1 4 | 2.656 | 100 |
| 2 0 0 | 2.524 | 61 |
| 1 0 7 | 2.072 | 22 |
| 2 1 7 | 1.602 | 24 |
| 3 1 4 | 1.481 | 35 |

Structure:
Lattice parameters (Å, degrees): 5.0482 5.0482 15.9080 90.00 90.00 90.00
Space group P4/nmm (No. 129, origin choice 2)
Unique sites:
Cs  0.2500  0.2500  0.1148 x2
Cs  0.2500  0.2500  0.6794 x2
Hg  0.2500  0.7500  0.5000 x2
Au  0.2500  0.2500  0.3813 x2
Cl  0.2500  0.2500  0.8965 x2